The following is a calculated powder X-ray diffraction pattern of Li4Ti2Cr3Co3O16. It was derived from a structure optimized by DFT (PBE+U), using Cu Kα, 1.54184 Å.

Top 12 peaks for 5 to 70 degrees two-theta, by angle:
index  d (Å)  2theta  intensity
0 0 2  4.704  18.9  100
1 1 1  4.424  20.1  61
1 0 -1  4.401  20.2  37
1 1 3  2.666  33.6  24
2 1 2  2.464  36.5  36
2 0 1  2.419  37.2  23
2 2 1  2.411  37.3  35
2 0 2  2.212  40.8  26
0 2 3  1.961  46.3  37
2 0 -3  1.948  46.6  25
0 2 5  1.509  61.5  28
4 2 0  1.438  64.9  31

Cell: 5.7492 5.7536 9.4079 Å, 89.35 89.33 60.34°
Fractional positions:
1 Li 0.0000 0.0000 0.0000
2 Li 0.0004 0.0047 0.5031
3 Li 0.3324 0.3401 0.4005
4 Li 0.6673 0.6732 0.8950
5 Ti 0.3364 0.3420 0.0013
6 Ti 0.6715 0.6750 0.5063
7 Cr 0.1763 0.1808 0.7264
8 Cr 0.3485 0.8318 0.2246
9 Cr 0.8262 0.3540 0.2231
10 Co 0.1705 0.6637 0.7203
11 Co 0.6584 0.1757 0.7201
12 Co 0.8292 0.8361 0.2195
13 O 0.0391 0.4883 0.8461
14 O 0.1667 0.1717 0.1032
15 O 0.1687 0.6720 0.1054
16 O 0.3345 0.8407 0.6051
17 O 0.3363 0.3425 0.6131
18 O 0.4797 0.4844 0.8382
19 O 0.4839 0.0436 0.8463
20 O 0.5189 0.5235 0.3472
21 O 0.5224 0.9679 0.3446
22 O 0.6683 0.6757 0.1097
23 O 0.6685 0.1741 0.1043
24 O 0.8349 0.8397 0.6077
25 O 0.8364 0.3384 0.6048
26 O 0.9611 0.5293 0.3435
27 O 0.9991 0.0044 0.8074
28 O 0.9991 0.0054 0.3100

---

The following is a calculated powder X-ray diffraction pattern of Ca2MoWO6. It was derived from a structure optimized by DFT (PBE+U), using Cu Kα, 1.54184 Å.

Top 12 peaks for 5 to 70 degrees two-theta, by angle:
index  d (Å)  2theta  intensity
0 1 1  4.671  19.0  12
1 0 0  4.552  19.5  12
1 1 -1  3.992  22.3  79
0 2 0  2.878  31.1  25
1 1 1  2.824  31.7  100
2 0 -2  2.768  32.3  22
0 0 4  1.996  45.4  39
2 2 0  1.787  51.1  19
1 3 -3  1.651  55.7  18
0 2 4  1.642  56.0  12
3 1 -1  1.610  57.2  12
3 1 -5  1.607  57.3  12

Cell: 5.5356 5.7570 9.7090 Å, 90.00 124.59 90.00°
Fractional positions:
1 Ca 0.2364 0.0546 0.2511
2 Ca 0.2364 0.4454 0.7511
3 Ca 0.7636 0.5546 0.2489
4 Ca 0.7636 0.9454 0.7489
5 Mo 0.5000 0.0000 0.0000
6 Mo 0.5000 0.5000 0.5000
7 W 0.0000 0.0000 0.5000
8 W 0.0000 0.5000 0.0000
9 O 0.1298 0.2111 0.9472
10 O 0.1298 0.2889 0.4472
11 O 0.2351 0.6954 0.9437
12 O 0.2351 0.8046 0.4437
13 O 0.3499 0.0404 0.7423
14 O 0.3499 0.4596 0.2423
15 O 0.6501 0.5404 0.7577
16 O 0.6501 0.9596 0.2577
17 O 0.7649 0.1954 0.5563
18 O 0.7649 0.3046 0.0563
19 O 0.8702 0.7111 0.5528
20 O 0.8702 0.7889 0.0528

---

Copy entry 1 word for word.
The following is a calculated powder X-ray diffraction pattern of Li4Ti2Cr3Co3O16. It was derived from a structure optimized by DFT (PBE+U), using Cu Kα, 1.54184 Å.

Top 12 peaks for 5 to 70 degrees two-theta, by angle:
index  d (Å)  2theta  intensity
0 0 2  4.704  18.9  100
1 1 1  4.424  20.1  61
1 0 -1  4.401  20.2  37
1 1 3  2.666  33.6  24
2 1 2  2.464  36.5  36
2 0 1  2.419  37.2  23
2 2 1  2.411  37.3  35
2 0 2  2.212  40.8  26
0 2 3  1.961  46.3  37
2 0 -3  1.948  46.6  25
0 2 5  1.509  61.5  28
4 2 0  1.438  64.9  31

Cell: 5.7492 5.7536 9.4079 Å, 89.35 89.33 60.34°
Fractional positions:
1 Li 0.0000 0.0000 0.0000
2 Li 0.0004 0.0047 0.5031
3 Li 0.3324 0.3401 0.4005
4 Li 0.6673 0.6732 0.8950
5 Ti 0.3364 0.3420 0.0013
6 Ti 0.6715 0.6750 0.5063
7 Cr 0.1763 0.1808 0.7264
8 Cr 0.3485 0.8318 0.2246
9 Cr 0.8262 0.3540 0.2231
10 Co 0.1705 0.6637 0.7203
11 Co 0.6584 0.1757 0.7201
12 Co 0.8292 0.8361 0.2195
13 O 0.0391 0.4883 0.8461
14 O 0.1667 0.1717 0.1032
15 O 0.1687 0.6720 0.1054
16 O 0.3345 0.8407 0.6051
17 O 0.3363 0.3425 0.6131
18 O 0.4797 0.4844 0.8382
19 O 0.4839 0.0436 0.8463
20 O 0.5189 0.5235 0.3472
21 O 0.5224 0.9679 0.3446
22 O 0.6683 0.6757 0.1097
23 O 0.6685 0.1741 0.1043
24 O 0.8349 0.8397 0.6077
25 O 0.8364 0.3384 0.6048
26 O 0.9611 0.5293 0.3435
27 O 0.9991 0.0044 0.8074
28 O 0.9991 0.0054 0.3100

---

What did the second record say?
The following is a calculated powder X-ray diffraction pattern of Ca2MoWO6. It was derived from a structure optimized by DFT (PBE+U), using Cu Kα, 1.54184 Å.

Top 12 peaks for 5 to 70 degrees two-theta, by angle:
index  d (Å)  2theta  intensity
0 1 1  4.671  19.0  12
1 0 0  4.552  19.5  12
1 1 -1  3.992  22.3  79
0 2 0  2.878  31.1  25
1 1 1  2.824  31.7  100
2 0 -2  2.768  32.3  22
0 0 4  1.996  45.4  39
2 2 0  1.787  51.1  19
1 3 -3  1.651  55.7  18
0 2 4  1.642  56.0  12
3 1 -1  1.610  57.2  12
3 1 -5  1.607  57.3  12

Cell: 5.5356 5.7570 9.7090 Å, 90.00 124.59 90.00°
Fractional positions:
1 Ca 0.2364 0.0546 0.2511
2 Ca 0.2364 0.4454 0.7511
3 Ca 0.7636 0.5546 0.2489
4 Ca 0.7636 0.9454 0.7489
5 Mo 0.5000 0.0000 0.0000
6 Mo 0.5000 0.5000 0.5000
7 W 0.0000 0.0000 0.5000
8 W 0.0000 0.5000 0.0000
9 O 0.1298 0.2111 0.9472
10 O 0.1298 0.2889 0.4472
11 O 0.2351 0.6954 0.9437
12 O 0.2351 0.8046 0.4437
13 O 0.3499 0.0404 0.7423
14 O 0.3499 0.4596 0.2423
15 O 0.6501 0.5404 0.7577
16 O 0.6501 0.9596 0.2577
17 O 0.7649 0.1954 0.5563
18 O 0.7649 0.3046 0.0563
19 O 0.8702 0.7111 0.5528
20 O 0.8702 0.7889 0.0528